Tb2Y3Sc2: simulated XRD peak list (Cu Kα (λ = 1.5418 Å)), based on a structure optimized by DFT (GGA-PBE).
Kinematic intensities with the Lorentz-polarization factor, no thermal factor.

Top 10 peaks for 2θ = 10–90°, low angle first:
2theta  d_spacing  I/Imax  index
20.47  4.339  19  1 3 0
25.92  3.437  19  0 0 1
27.05  3.297  19  0 2 1
31.37  2.852  66  1 1 1
31.89  2.807  100  1 7 0
34.27  2.617  42  2 0 0
34.87  2.573  30  0 6 1
41.54  2.174  23  1 7 1
49.70  1.835  21  2 6 1
63.47  1.466  26  1 7 2

Cell and atoms:
Cell lengths 5.234, 23.276, 3.437 Å; angles 90.00, 90.00, 90.00 degrees
Space group Cmmm (No. 65)
Symmetry-distinct sites (fractional):
Tb 0.000 0.215 0.000 (multiplicity 4)
Y 0.000 0.075 0.000 (multiplicity 4)
Y 0.000 0.500 0.500 (multiplicity 2)
Sc 0.000 0.349 0.500 (multiplicity 4)